[1]
For Li9Mn7O16, a PBE+U-relaxed structure gives the computed powder diffraction line list in this record (a wavelength of 1.5418 Å).
Lines closer than 0.1° are merged.

Structural model:
abc: 9.2854 9.2854 5.8523
angles: 90.54 90.54 36.09
Positions (direct):
Li (0.0000, 0.0000, 0.0000)
Li (0.0000, 0.0000, 0.5000)
Li (0.1251, 0.6336, 0.2520)
Li (0.2496, 0.2496, 0.4992)
Li (0.3664, 0.8749, 0.7480)
Li (0.5000, 0.5000, 0.0000)
Li (0.6336, 0.1251, 0.2520)
Li (0.7504, 0.7504, 0.5008)
Li (0.8749, 0.3664, 0.7480)
Mn (0.1285, 0.6311, 0.7467)
Mn (0.2503, 0.2503, 0.9997)
Mn (0.3689, 0.8715, 0.2533)
Mn (0.5000, 0.5000, 0.5000)
Mn (0.6311, 0.1285, 0.7467)
Mn (0.7497, 0.7497, 0.0003)
Mn (0.8715, 0.3689, 0.2533)
O (0.0025, 0.5028, 0.7722)
O (0.1225, 0.1225, 0.0194)
O (0.1277, 0.1277, 0.4756)
O (0.2552, 0.7323, 0.7356)
O (0.2677, 0.7448, 0.2644)
O (0.3714, 0.3714, 0.5162)
O (0.3752, 0.3752, 0.9736)
O (0.4972, 0.9975, 0.2278)
O (0.5028, 0.0025, 0.7722)
O (0.6248, 0.6248, 0.0264)
O (0.6286, 0.6286, 0.4838)
O (0.7323, 0.2552, 0.7356)
O (0.7448, 0.2677, 0.2644)
O (0.8723, 0.8723, 0.5244)
O (0.8775, 0.8775, 0.9806)
O (0.9975, 0.4972, 0.2278)

Main lines, in order of falling intensity (2θ = 10–80°):
d [Å]  I/Imax
4.856  100.0
2.051  55.1
2.207  35.2
2.480  23.8
2.639  18.2
1.508  16.8
1.497  16.6
1.936  9.6
1.586  9.4
1.463  7.4

---

[2]
For CrO2, a PBE+U-relaxed structure gives the computed powder diffraction line list in this record (a wavelength of 1.5418 Å).
Lines closer than 0.1° are merged.

Structural model:
abc: 4.9740 4.9740 9.7670
angles: 90.00 90.00 145.84
Positions (direct):
Cr (0.1336, 0.8664, 0.5733)
Cr (0.1336, 0.8664, 0.9267)
Cr (0.8664, 0.1336, 0.0733)
Cr (0.8664, 0.1336, 0.4267)
O (0.0754, 0.9246, 0.7500)
O (0.2386, 0.7614, 0.1015)
O (0.2386, 0.7614, 0.3985)
O (0.5000, 0.5000, 0.0000)
O (0.5000, 0.5000, 0.5000)
O (0.7614, 0.2386, 0.6015)
O (0.7614, 0.2386, 0.8985)
O (0.9246, 0.0754, 0.2500)

Main lines, in order of falling intensity (2θ = 10–80°):
d [Å]  I/Imax
4.884  100.0
4.275  88.0
2.686  62.9
2.793  42.8
2.148  42.3
1.966  28.6
1.432  27.1
2.098  25.9
1.793  21.7
1.807  17.1

---

[3]
For KEuYWO6, a PBE+U-relaxed structure gives the computed powder diffraction line list in this record (a wavelength of 1.5418 Å).
Lines closer than 0.1° are merged.

Structural model:
abc: 5.9252 5.9252 5.9252
angles: 60.00 60.00 60.00
Positions (direct):
K (0.0000, 0.0000, 0.0000)
Eu (0.5000, 0.5000, 0.5000)
Y (0.2500, 0.2500, 0.2500)
W (0.7500, 0.7500, 0.7500)
O (0.5171, 0.5171, 0.9829)
O (0.5171, 0.9829, 0.5171)
O (0.5171, 0.9829, 0.9829)
O (0.9829, 0.5171, 0.5171)
O (0.9829, 0.5171, 0.9829)
O (0.9829, 0.9829, 0.5171)

Main lines, in order of falling intensity (2θ = 10–80°):
d [Å]  I/Imax
2.963  100.0
1.710  39.8
2.095  30.8
4.838  25.7
1.481  18.8
1.325  17.7
2.527  14.0
4.190  8.6
1.209  6.2
1.922  5.9

---

[4]
For MgMn6O8F4, a PBE+U-relaxed structure gives the computed powder diffraction line list in this record (a wavelength of 1.5418 Å).
Lines closer than 0.1° are merged.

Structural model:
abc: 5.2269 5.8740 7.5611
angles: 81.59 85.25 81.05
Positions (direct):
Mg (0.0000, 0.0000, 0.0000)
Mn (0.0295, 0.0425, 0.5115)
Mn (0.0377, 0.4082, 0.2003)
Mn (0.4697, 0.4739, 0.4897)
Mn (0.4863, 0.8436, 0.1744)
Mn (0.4915, 0.1700, 0.8152)
Mn (0.8245, 0.6456, 0.8090)
O (0.1569, 0.0607, 0.2502)
O (0.3236, 0.2038, 0.5878)
O (0.3323, 0.5414, 0.2587)
O (0.3753, 0.8884, 0.9378)
O (0.5818, 0.4632, 0.7235)
O (0.8100, 0.3247, 0.4113)
O (0.8411, 0.6967, 0.0844)
O (0.8555, 0.9964, 0.7477)
F (0.0970, 0.3355, 0.9282)
F (0.1295, 0.6964, 0.5738)
F (0.6033, 0.7895, 0.4166)
F (0.6507, 0.1702, 0.0589)

Main lines, in order of falling intensity (2θ = 10–80°):
d [Å]  I/Imax
3.877  100.0
3.287  91.7
2.489  31.2
2.568  27.0
2.139  23.9
1.717  23.8
2.577  23.1
3.004  21.6
1.477  21.1
2.406  20.6

---

[5]
For K2NiO2, a PBE+U-relaxed structure gives the computed powder diffraction line list in this record (a wavelength of 1.5418 Å).
Lines closer than 0.1° are merged.

Structural model:
abc: 7.1266 7.1266 7.1266
angles: 147.57 147.57 46.51
Positions (direct):
K (0.1595, 0.1595, 0.0000)
K (0.8405, 0.8405, 0.0000)
Ni (0.5000, 0.5000, 0.0000)
O (0.3684, 0.3684, 0.0000)
O (0.6316, 0.6316, 0.0000)

Main lines, in order of falling intensity (2θ = 10–80°):
d [Å]  I/Imax
2.814  100.0
2.941  98.2
1.990  32.8
1.648  32.2
1.725  28.7
3.808  26.8
1.471  17.1
2.183  16.2
1.367  12.2
1.258  11.8

---

[6]
For MnAl2P2H10O13F2, a PBE+U-relaxed structure gives the computed powder diffraction line list in this record (a wavelength of 1.5418 Å).
Lines closer than 0.1° are merged.

Structural model:
abc: 6.0965 9.9205 10.0010
angles: 97.31 99.69 92.80
Positions (direct):
Mn (0.1524, 0.0886, 0.4083)
Mn (0.8476, 0.9114, 0.5917)
Al (0.0000, 0.5000, 0.0000)
Al (0.3148, 0.7838, 0.2011)
Al (0.5000, 0.0000, 0.0000)
Al (0.6852, 0.2162, 0.7989)
P (0.2105, 0.2315, 0.8967)
P (0.4140, 0.9393, 0.6702)
P (0.5860, 0.0607, 0.3298)
P (0.7895, 0.7685, 0.1033)
H (0.0011, 0.6491, 0.8095)
H (0.0193, 0.7026, 0.4355)
H (0.1076, 0.8667, 0.8207)
H (0.1346, 0.1477, 0.1365)
H (0.2004, 0.5524, 0.7995)
H (0.2169, 0.2701, 0.6371)
H (0.3871, 0.5918, 0.3387)
H (0.4045, 0.7305, 0.4509)
H (0.4292, 0.4111, 0.1571)
H (0.4887, 0.6552, 0.7103)
H (0.5113, 0.3448, 0.2897)
H (0.5708, 0.5889, 0.8429)
H (0.5955, 0.2695, 0.5491)
H (0.6129, 0.4082, 0.6613)
H (0.7831, 0.7299, 0.3629)
H (0.7996, 0.4476, 0.2005)
H (0.8654, 0.8523, 0.8635)
H (0.8924, 0.1333, 0.1793)
H (0.9807, 0.2974, 0.5645)
H (0.9989, 0.3509, 0.1905)
O (0.0163, 0.8109, 0.1971)
O (0.0486, 0.1733, 0.2119)
O (0.0499, 0.5573, 0.8255)
O (0.1292, 0.2782, 0.5455)
O (0.1934, 0.9759, 0.5859)
O (0.2026, 0.3693, 0.9878)
O (0.2771, 0.1267, 0.9963)
O (0.3271, 0.6819, 0.3576)
O (0.3775, 0.9243, 0.8167)
O (0.3825, 0.2448, 0.8006)
O (0.3920, 0.9480, 0.3234)
O (0.4721, 0.5713, 0.7523)
O (0.4993, 0.1918, 0.3984)
O (0.5007, 0.8082, 0.6016)
O (0.5279, 0.4287, 0.2477)
O (0.6080, 0.0520, 0.6766)
O (0.6175, 0.7552, 0.1994)
O (0.6225, 0.0757, 0.1833)
O (0.6729, 0.3181, 0.6424)
O (0.7229, 0.8733, 0.0037)
O (0.7974, 0.6307, 0.0122)
O (0.8066, 0.0241, 0.4141)
O (0.8708, 0.7218, 0.4545)
O (0.9501, 0.4427, 0.1745)
O (0.9514, 0.8267, 0.7881)
O (0.9837, 0.1890, 0.8029)
F (0.2371, 0.6191, 0.0904)
F (0.3079, 0.8761, 0.0515)
F (0.6921, 0.1239, 0.9485)
F (0.7629, 0.3809, 0.9096)

Main lines, in order of falling intensity (2θ = 10–80°):
d [Å]  I/Imax
7.454  100.0
2.981  42.2
2.903  38.3
4.153  33.3
2.862  27.3
2.809  21.4
4.634  21.4
3.246  20.0
4.959  16.8
2.644  15.1